The following is a calculated powder diffraction line list of Li4Mn5Sn3O16. It was derived from a GGA+U-relaxed structure, using Cu Kα, 1.54184 Å.
Kinematic intensities with the Lorentz-polarization factor, no thermal factor.

```
28
Lattice="5.2684 -3.0653 0.0000 5.2684 3.0653 0.0000 -0.1103 0.0000 9.8652" Properties=species:S:1:pos:R:3 pbc="T T T"
Li 0.0000 0.0000 0.0000
Li -0.0184 0.0000 5.0083
Li 3.1748 0.0000 6.0874
Li 6.7914 0.0000 1.0508
Mn 1.5764 0.0000 2.7955
Mn 3.3253 0.0000 0.0425
Mn 5.8853 1.4970 7.7512
Mn 6.7331 0.0000 5.0393
Mn 5.8853 -1.4970 7.7512
Sn 4.1692 1.5182 2.8241
Sn 4.1692 -1.5182 2.8241
Sn 8.4974 0.0000 7.7609
O 2.4551 1.3468 1.6424
O 1.4756 0.0000 8.7773
O 4.2493 1.5998 8.8701
O 5.9810 1.6412 3.8990
O 3.2282 0.0000 3.9501
O 2.4551 -1.3468 1.6424
O 4.8946 0.0000 1.5923
O 7.4704 1.3882 6.5926
O 5.1556 0.0000 6.6375
O 6.6595 0.0000 8.8242
O 4.2493 -1.5998 8.8701
O 8.7176 0.0000 4.0226
O 5.9810 -1.6412 3.8990
O 7.4704 -1.3882 6.5926
O 10.4262 0.0000 1.7996
O 10.3837 0.0000 6.8095
```

Most intense lines, 5° ≤ 2θ ≤ 70°, low angle first:
2θ = 17.98°, I 100; 2θ = 19.01°, I 81; 2θ = 34.45°, I 34; 2θ = 35.02°, I 28; 2θ = 35.13°, I 43; 2θ = 38.50°, I 20; 2θ = 43.77°, I 35; 2θ = 44.01°, I 23; 2θ = 58.12°, I 25; 2θ = 60.79°, I 26

---

The following is a calculated powder diffraction line list of Na2W3O10. It was derived from a GGA+U-relaxed structure, using Cu Kα, 1.54184 Å.
Kinematic intensities with the Lorentz-polarization factor, no thermal factor.

```
30
Lattice="6.9205 -3.9791 0.0000 6.9205 3.9791 0.0000 -1.6276 0.0000 8.4410" Properties=species:S:1:pos:R:3 pbc="T T T"
Na 2.2411 0.8445 1.2683
Na 1.4273 -0.8445 5.4888
Na 10.7862 0.8445 2.9522
Na 9.9724 -0.8445 7.1727
W 6.5136 2.4563 2.1103
W 4.5695 0.6659 4.1029
W 3.7557 -0.6659 8.3234
W 8.4577 0.6659 0.1176
W 7.6440 -0.6659 4.3381
W 5.6998 -2.4563 6.3308
O -0.6336 0.4509 7.6094
O 0.1802 -0.4509 3.3889
O 4.6429 2.0099 2.7152
O 3.9795 1.5740 5.4983
O 2.4109 0.3640 7.7850
O 3.2247 -0.3640 3.5645
O 8.3844 2.0099 1.5053
O 6.4345 0.7456 0.7647
O 6.5928 0.7456 3.4558
O 7.4202 1.5740 7.1632
O 4.7933 -1.5740 1.2778
O 5.6207 -0.7456 4.9852
O 5.7790 -0.7456 7.6763
O 3.8291 -2.0099 6.9357
O 8.9887 0.3640 4.8766
O 9.8025 -0.3640 0.6561
O 8.2340 -1.5740 2.9427
O 7.5706 -2.0099 5.7258
O 12.0333 0.4509 5.0522
O 12.8471 -0.4509 0.8317
```

Most intense lines, 5° ≤ 2θ ≤ 70°, low angle first:
2θ = 12.89°, I 60; 2θ = 13.03°, I 53; 2θ = 17.41°, I 100; 2θ = 22.58°, I 26; 2θ = 23.66°, I 60; 2θ = 25.81°, I 33; 2θ = 26.51°, I 55; 2θ = 27.08°, I 82; 2θ = 30.49°, I 42; 2θ = 30.89°, I 37

---

The following is a calculated powder diffraction line list of LiMn4O8. It was derived from a GGA+U-relaxed structure, using Cu Kα, 1.54184 Å.
Kinematic intensities with the Lorentz-polarization factor, no thermal factor.

```
52
Lattice="9.6165 0.0000 0.0000 0.0000 5.9174 0.0000 -9.3341 0.0000 10.3096" Properties=species:S:1:pos:R:3 pbc="T T T"
Li -2.0486 0.7752 4.0632
Li -6.7156 2.1835 9.2180
Li 6.9980 3.7339 1.0916
Li 2.3310 5.1422 6.2464
Mn -3.7953 0.7388 6.1270
Mn 0.8717 2.2199 0.9722
Mn -3.7238 3.7023 6.0689
Mn 0.9432 5.1739 0.9141
Mn 0.8025 3.7074 4.0468
Mn -3.8646 5.1688 9.2016
Mn 0.8954 0.7329 4.0986
Mn -3.7716 2.2258 9.2534
Mn 4.0540 3.6917 1.0562
Mn -0.6130 5.1845 6.2110
Mn 4.1470 0.7487 1.1080
Mn -0.5200 2.2101 6.2628
Mn -0.6608 0.7435 9.3955
Mn 4.0062 2.2152 4.2407
Mn -0.5893 3.6975 9.3374
Mn 4.0778 5.1786 4.1826
O -8.3361 0.7786 9.9589
O -3.6691 2.1801 4.8041
O -8.3119 3.6556 9.9314
O -3.6448 5.2206 4.7766
O 0.5953 3.7126 2.1409
O -4.0718 5.1636 7.2957
O 0.6380 0.7248 2.1608
O -4.0291 2.2339 7.3156
O -5.1751 3.5858 9.4126
O -0.5080 5.2904 4.2578
O -5.1177 0.8359 9.4602
O -0.4507 2.1228 4.3053
O -1.8620 0.7296 6.2011
O 2.8050 2.2291 1.0463
O -1.8325 3.7147 6.2582
O 2.8345 5.1615 1.1034
O -2.5521 0.7560 9.2062
O 2.1149 2.2027 4.0514
O -2.5226 3.6883 9.2633
O 2.1445 5.1879 4.1085
O 0.7331 3.7947 6.0043
O 5.4001 5.0815 0.8495
O 0.7904 0.6270 6.0518
O 5.4575 2.3317 0.8970
O 4.3115 3.6835 2.9940
O -0.3555 5.1927 8.1488
O 4.3542 0.7539 3.0140
O -0.3129 2.2048 8.1688
O 3.9272 0.6969 5.5330
O 8.5943 2.2618 0.3782
O 3.9515 3.7373 5.5055
O 8.6185 5.1388 0.3507
```

Most intense lines, 5° ≤ 2θ ≤ 70°, low angle first:
2θ = 12.42°, I 96; 2θ = 12.76°, I 91; 2θ = 17.20°, I 71; 2θ = 18.46°, I 100; 2θ = 27.81°, I 32; 2θ = 28.95°, I 40; 2θ = 34.81°, I 37; 2θ = 36.11°, I 45; 2θ = 36.36°, I 36; 2θ = 36.84°, I 51

---

The following is a calculated powder diffraction line list of Zn2NiO3. It was derived from a GGA+U-relaxed structure, using Cu Kα, 1.54184 Å.
Kinematic intensities with the Lorentz-polarization factor, no thermal factor.

```
6
Lattice="-1.5206 2.1492 4.5606 1.5206 -2.1492 4.5606 1.5206 2.1492 -4.5606" Properties=species:S:1:pos:R:3 pbc="T T T"
Zn 0.0000 0.0000 1.5177
Zn 0.0000 0.0000 7.6036
Ni 0.0000 0.0000 4.5606
O 1.5206 0.0000 0.0000
O 1.5206 0.0000 3.0670
O 0.0000 2.1492 1.4936
```

Most intense lines, 5° ≤ 2θ ≤ 70°, low angle first:
2θ = 36.18°, I 79; 2θ = 42.03°, I 100; 2θ = 60.95°, I 59

---

The following is a calculated powder diffraction line list of Li3Co2Si2O8. It was derived from a GGA+U-relaxed structure, using Cu Kα, 1.54184 Å.
Kinematic intensities with the Lorentz-polarization factor, no thermal factor.

```
30
Lattice="5.0708 0.0000 0.0000 0.0000 6.3390 0.0000 -0.0162 0.0000 10.7867" Properties=species:S:1:pos:R:3 pbc="T T T"
Li 0.0000 0.0044 0.0000
Li -0.0081 6.3345 5.3933
Li 0.0055 1.6070 8.1914
Li 0.0136 4.7320 2.7980
Li 2.5608 1.6936 4.5387
Li 2.5527 4.6454 9.9321
Co 0.0221 3.1048 0.0731
Co 0.0139 3.2342 5.4664
Co 2.5681 0.1062 1.9186
Co 2.5600 6.2327 7.3120
Si 0.0273 1.6349 2.7783
Si 0.0192 4.7040 8.1717
Si 2.5643 1.5378 9.9516
Si 2.5724 4.8011 4.5583
O 1.6744 1.4450 2.8069
O 1.6663 4.8940 8.2002
O 1.9384 2.9118 10.5356
O 1.9465 3.4272 5.1423
O 2.0135 1.2929 8.3998
O 2.0216 5.0461 3.0065
O 2.0919 0.1915 0.0791
O 2.0838 6.1474 5.4725
O 4.2054 1.5499 9.9545
O 4.2135 4.7891 4.5612
O 4.4733 0.2644 2.0008
O 4.4651 6.0746 7.3942
O 4.5593 1.6277 4.3437
O 4.5512 4.7113 9.7370
O 4.7415 3.0057 1.9870
O 4.7334 3.3333 7.3804
```

Most intense lines, 5° ≤ 2θ ≤ 70°, low angle first:
2θ = 16.22°, I 32; 2θ = 21.63°, I 75; 2θ = 22.45°, I 100; 2θ = 23.94°, I 29; 2θ = 32.77°, I 52; 2θ = 33.22°, I 29; 2θ = 35.40°, I 48; 2θ = 37.39°, I 42; 2θ = 59.08°, I 31; 2θ = 64.87°, I 26

---

The following is a calculated powder diffraction line list of VPO5. It was derived from a GGA+U-relaxed structure, using Cu Kα, 1.54184 Å.
Kinematic intensities with the Lorentz-polarization factor, no thermal factor.

```
14
Lattice="3.6742 -3.5314 0.0000 3.6742 3.5314 0.0000 -3.1547 0.0000 6.6818" Properties=species:S:1:pos:R:3 pbc="T T T"
V 2.0969 1.9010 3.3409
V 3.6742 -1.9010 0.0000
P -0.3549 0.8565 5.2714
P 1.2224 -0.8565 1.9305
O -1.0281 0.0109 4.1725
O 0.5492 -0.0109 0.8317
O 0.7258 1.7774 4.6834
O 1.8719 0.0553 3.0167
O 3.8602 1.7595 2.6175
O 0.2946 -0.0553 6.3576
O 2.3031 -1.7774 1.3425
O 3.3837 1.0636 5.4090
O 2.2829 -1.7595 5.9583
O 4.9610 -1.0636 2.0681
```

Most intense lines, 5° ≤ 2θ ≤ 70°, low angle first:
2θ = 18.33°, I 28; 2θ = 19.01°, I 27; 2θ = 25.22°, I 18; 2θ = 25.87°, I 100; 2θ = 28.66°, I 76; 2θ = 35.30°, I 13; 2θ = 45.57°, I 11; 2θ = 46.02°, I 15; 2θ = 59.23°, I 15; 2θ = 59.39°, I 19

---

The following is a calculated powder diffraction line list of Li3Fe8B8O24. It was derived from a GGA+U-relaxed structure, using Cu Kα, 1.54184 Å.
Kinematic intensities with the Lorentz-polarization factor, no thermal factor.

```
43
Lattice="5.2594 0.0000 0.0000 0.1053 9.1712 0.0000 0.0249 0.1526 10.0820" Properties=species:S:1:pos:R:3 pbc="T T T"
Li 0.0000 0.0000 0.0000
Li 0.8264 1.5471 7.3611
Li 2.5876 4.6765 4.9422
Fe 0.0712 3.2210 9.8403
Fe 0.7738 7.6857 7.2536
Fe 0.8546 4.6011 2.1883
Fe 2.5741 1.5920 4.7169
Fe 2.6948 7.7443 9.7283
Fe 3.4997 9.1067 2.2963
Fe 3.4776 3.1221 7.2897
Fe 5.2518 6.2263 4.7791
B 0.8309 4.5900 7.1529
B 0.9066 7.6223 2.1759
B 2.6205 7.6234 4.7254
B 2.6098 1.5746 9.7120
B 3.4167 0.1604 7.3500
B 3.4935 3.0515 2.2531
B 5.2278 3.1765 4.8143
B 5.2805 6.2850 9.8325
O 0.1035 3.5117 7.6772
O 0.1810 5.7483 6.7599
O 0.4581 6.4488 2.7696
O 0.5477 4.3811 4.2971
O 0.6580 5.0035 0.2147
O 0.7024 2.0680 4.9623
O 0.7813 7.3995 9.4238
O 1.2914 7.6284 5.1436
O 1.2413 1.5758 9.6173
O 2.1784 4.4576 6.9788
O 2.2293 7.6972 1.7261
O 2.7219 8.2823 7.7867
O 2.6677 4.1320 2.3420
O 2.7481 1.3230 6.8976
O 3.0240 1.7887 2.6189
O 3.1865 8.7936 4.2327
O 3.2718 0.2774 0.1291
O 3.3572 6.4653 4.7887
O 3.3820 2.6385 9.2641
O 3.8848 3.2399 5.2265
O 3.9272 6.3520 9.7580
O 4.7756 0.1335 7.3896
O 4.8246 3.1794 1.8614
O 5.3252 8.6744 1.9627
```

Most intense lines, 5° ≤ 2θ ≤ 70°, low angle first:
2θ = 19.36°, I 41; 2θ = 19.55°, I 68; 2θ = 21.40°, I 100; 2θ = 21.51°, I 27; 2θ = 26.11°, I 61; 2θ = 33.75°, I 23; 2θ = 34.10°, I 59; 2θ = 35.62°, I 77; 2θ = 40.24°, I 35; 2θ = 60.58°, I 23